This entry pairs a crystal structure of Li5Ti6FeO16 with its theoretical powder diffraction line list. Radiation: Cu Kα (λ = 1.5418 Å). Structure: a DFT-relaxed cell (PBE+U, Alexandria).
Peak positions follow from Bragg's law for the DFT cell and can differ from measured ones.

The 10 most intense peaks (10° ≤ 2θ ≤ 90°), sorted by position:
Position (°2θ)	intensity	h k l
14.84	32	1 1 0
18.20	83	1 1 1
23.57	46	2 0 1
25.85	32	1 1 -2
29.94	13	2 2 0
35.26	100	1 1 3
42.85	76	0 4 0
56.66	42	1 5 -1
62.21	68	4 0 4
89.10	14	5 5 3

Cell and atoms:
```
Li5Ti6FeO16
1.0
8.441 0.000 0.000
0.000 8.440 0.000
0.000 0.000 8.443
Li Ti Fe O
10 12 2 32
direct
0.001 0.000 0.251
0.124 0.624 0.127
0.251 0.243 0.004
0.377 0.373 0.624
0.497 0.996 0.754
0.503 0.496 0.246
0.623 0.873 0.376
0.749 0.743 0.996
0.876 0.124 0.873
0.999 0.500 0.749
0.117 0.873 0.891
0.135 0.374 0.373
0.136 0.136 0.636
0.363 0.612 0.883
0.376 0.128 0.377
0.381 0.867 0.120
0.619 0.367 0.880
0.624 0.628 0.623
0.637 0.112 0.117
0.864 0.636 0.364
0.865 0.874 0.627
0.883 0.373 0.109
0.247 0.749 0.500
0.753 0.249 0.500
0.105 0.372 0.146
0.113 0.607 0.384
0.116 0.881 0.629
0.124 0.352 0.609
0.126 0.104 0.854
0.141 0.138 0.386
0.141 0.874 0.106
0.144 0.640 0.872
0.356 0.357 0.374
0.360 0.120 0.604
0.363 0.860 0.892
0.368 0.882 0.361
0.376 0.641 0.108
0.389 0.630 0.633
0.390 0.391 0.874
0.391 0.106 0.144
0.609 0.606 0.856
0.610 0.891 0.126
0.611 0.130 0.367
0.624 0.141 0.892
0.632 0.382 0.639
0.637 0.360 0.108
0.640 0.620 0.396
0.644 0.857 0.626
0.856 0.140 0.128
0.859 0.374 0.894
0.859 0.638 0.614
0.874 0.604 0.146
0.876 0.852 0.391
0.884 0.381 0.371
0.887 0.107 0.616
0.895 0.872 0.854
```